Record 1
This entry pairs a crystal structure of P2S with its simulated PXRD pattern. Radiation: a wavelength of 1.5418 Å. Structure: the PBE geometry in Alexandria.
Kinematic intensities with the Lorentz-polarization factor, no thermal factor.

Principal peaks in the range 2θ from 10° to 90°, sorted by position:
14.69 deg, rel. 100; 18.34 deg, rel. 20; 19.32 deg, rel. 23; 20.39 deg, rel. 34; 27.13 deg, rel. 30; 31.17 deg, rel. 24; 34.58 deg, rel. 33; 38.31 deg, rel. 28

Lattice parameters (Å, degrees): 5.1078 5.5921 6.6865 111.39 94.58 111.78
Positions (direct):
P1 0.0000 0.0000 0.0000
P2 0.1066 0.1977 0.3689
P3 0.3794 0.6187 0.1205
P4 0.6583 0.0695 0.1810
S1 0.3108 0.6476 0.4386
S2 0.9910 0.5877 0.9381

=====

Record 2
This entry pairs a crystal structure of NaHoCuTe2 with its simulated PXRD pattern. Radiation: a wavelength of 1.5418 Å. Structure: the PBE geometry in Alexandria.
Kinematic intensities with the Lorentz-polarization factor, no thermal factor.

Principal peaks in the range 2θ from 10° to 90°, sorted by position:
11.44 deg, rel. 100; 19.46 deg, rel. 31; 24.42 deg, rel. 46; 25.83 deg, rel. 57; 29.45 deg, rel. 45; 32.68 deg, rel. 46; 35.55 deg, rel. 42; 46.22 deg, rel. 35

Lattice parameters (Å, degrees): 7.8138 4.5607 8.2768 90.00 98.04 90.00
Positions (direct):
Na1 0.0000 0.1634 0.2500
Na2 0.0000 0.8366 0.7500
Ho1 0.5000 0.4956 0.7500
Ho2 0.5000 0.5044 0.2500
Cu1 0.5000 0.0000 0.0000
Cu2 0.5000 0.0000 0.5000
Te1 0.2323 0.3149 0.9671
Te2 0.2323 0.6851 0.4671
Te3 0.7677 0.3149 0.5329
Te4 0.7677 0.6851 0.0329

=====

Record 3
This entry pairs a crystal structure of Er3Tl2N with its simulated PXRD pattern. Radiation: a wavelength of 1.5418 Å. Structure: the PBE geometry in Alexandria.
Kinematic intensities with the Lorentz-polarization factor, no thermal factor.

Principal peaks in the range 2θ from 10° to 90°, sorted by position:
31.77 deg, rel. 100; 32.73 deg, rel. 67; 34.84 deg, rel. 72; 45.54 deg, rel. 37; 58.61 deg, rel. 16; 59.94 deg, rel. 19; 62.90 deg, rel. 14; 64.77 deg, rel. 24

Lattice parameters (Å, degrees): 7.9583 7.9583 6.9429 102.60 102.60 41.44
Positions (direct):
Er1 0.0062 0.9938 0.7500
Er2 0.3910 0.3940 0.4462
Er3 0.3940 0.3910 0.9462
Er4 0.6060 0.6090 0.0538
Er5 0.6090 0.6060 0.5538
Er6 0.9938 0.0062 0.2500
Tl1 0.1993 0.2024 0.1003
Tl2 0.2024 0.1993 0.6003
Tl3 0.7976 0.8007 0.3997
Tl4 0.8007 0.7976 0.8997
N1 0.4907 0.5093 0.7500
N2 0.5093 0.4907 0.2500

=====

Record 4
This entry pairs a crystal structure of Mg3Ag2 with its simulated PXRD pattern. Radiation: a wavelength of 1.5418 Å. Structure: the PBE geometry in Alexandria.
Kinematic intensities with the Lorentz-polarization factor, no thermal factor.

Principal peaks in the range 2θ from 10° to 90°, sorted by position:
16.85 deg, rel. 39; 23.99 deg, rel. 20; 28.44 deg, rel. 23; 37.44 deg, rel. 100; 37.66 deg, rel. 29; 38.42 deg, rel. 22; 54.90 deg, rel. 15; 67.84 deg, rel. 15

Lattice parameters (Å, degrees): 10.5254 3.4524 7.4200 90.00 134.24 90.00
Positions (direct):
Mg1 0.0000 0.0000 0.0000
Mg2 0.1803 0.0000 0.5894
Mg3 0.3197 0.5000 0.4106
Mg4 0.5000 0.5000 0.0000
Mg5 0.6803 0.5000 0.5894
Mg6 0.8197 0.0000 0.4106
Ag1 0.0984 0.5000 0.8096
Ag2 0.4016 0.0000 0.1904
Ag3 0.5984 0.0000 0.8096
Ag4 0.9016 0.5000 0.1904